The following is a theoretical PXRD pattern of Li3Mn4B4O12. It was derived from the PBE+U geometry in the Materials Project, using λ = 1.5418 Å (Cu Kα).
Peak positions follow from Bragg's law for the DFT cell and can differ from measured ones.

Top 8 peaks for 10° ≤ 2θ ≤ 90°, in order of falling intensity:
- 34.00°, d = 2.637 Å, I = 100
- 34.56°, d = 2.595 Å, I = 99
- 19.44°, d = 4.566 Å, I = 97
- 21.53°, d = 4.127 Å, I = 74
- 25.51°, d = 3.492 Å, I = 64
- 21.26°, d = 4.179 Å, I = 47
- 26.45°, d = 3.370 Å, I = 35
- 60.85°, d = 1.522 Å, I = 35

Atomic structure:
```
data_Li3Mn4B4O12
_cell_length_a 5.2711
_cell_length_b 9.1470
_cell_length_c 11.4571
_cell_angle_alpha 68.63
_cell_angle_beta 77.57
_cell_angle_gamma 89.96
_symmetry_space_group_name_H-M 'P 1'
_symmetry_Int_Tables_number 1
loop_
_symmetry_equiv_pos_as_xyz
'x,y,z'
loop_
_atom_site_label
_atom_site_fract_x
_atom_site_fract_y
_atom_site_fract_z
_atom_site_occupancy
Li1 0.0000 0.0000 0.0000 1
Li2 0.0258 0.0416 0.2464 1
Li3 0.2257 0.2679 0.4974 1
Li4 0.5073 0.5104 0.9906 1
Li5 0.7204 0.7687 0.4913 1
Li6 0.7737 0.7914 0.7632 1
Mn1 0.0042 0.6849 0.2748 1
Mn2 0.2147 0.9158 0.5301 1
Mn3 0.2660 0.6006 0.7696 1
Mn4 0.4785 0.8326 0.0277 1
Mn5 0.4986 0.2097 0.2772 1
Mn6 0.7159 0.4118 0.5273 1
Mn7 0.7698 0.1270 0.7793 1
Mn8 0.9741 0.3243 0.0242 1
B1 0.2223 0.5769 0.5237 1
B2 0.2553 0.9292 0.7968 1
B3 0.4581 0.1549 0.0373 1
B4 0.5058 0.8764 0.2744 1
B5 0.7061 0.0721 0.5389 1
B6 0.7752 0.4537 0.7724 1
B7 0.9804 0.6577 0.0222 1
B8 0.9823 0.3515 0.2975 1
O1 0.0853 0.7634 0.0673 1
O2 0.1110 0.0428 0.8181 1
O3 0.1394 0.5510 0.9893 1
O4 0.1718 0.8318 0.7411 1
O5 0.1940 0.1287 0.0551 1
O6 0.2279 0.3507 0.3139 1
O7 0.3349 0.6878 0.5588 1
O8 0.3400 0.4433 0.5281 1
O9 0.3420 0.9771 0.3157 1
O10 0.4010 0.7882 0.2147 1
O11 0.4776 0.1074 0.4972 1
O12 0.5002 0.9072 0.8354 1
O13 0.5624 0.2757 0.0645 1
O14 0.6300 0.0583 0.9931 1
O15 0.6438 0.5768 0.7891 1
O16 0.6817 0.3616 0.7126 1
O17 0.7251 0.6641 0.0133 1
O18 0.7549 0.8623 0.2939 1
O19 0.8116 0.4522 0.3398 1
O20 0.8115 0.9303 0.5533 1
O21 0.8325 0.1838 0.5706 1
O22 0.8940 0.2566 0.2405 1
O23 0.9835 0.6052 0.4851 1
O24 0.9953 0.4109 0.8187 1
```



The following is a theoretical PXRD pattern of MgVP2O7. It was derived from the PBE+U geometry in the Materials Project, using λ = 1.5418 Å (Cu Kα).
Peak positions follow from Bragg's law for the DFT cell and can differ from measured ones.

Top 8 peaks for 10° ≤ 2θ ≤ 90°, in order of falling intensity:
- 29.12°, d = 3.067 Å, I = 100
- 29.58°, d = 3.020 Å, I = 69
- 30.16°, d = 2.963 Å, I = 66
- 28.05°, d = 3.181 Å, I = 46
- 32.43°, d = 2.761 Å, I = 45
- 38.95°, d = 2.312 Å, I = 32
- 16.20°, d = 5.470 Å, I = 29
- 42.75°, d = 2.115 Å, I = 24

Atomic structure:
```
data_MgVP2O7
_cell_length_a 6.4642
_cell_length_b 6.5955
_cell_length_c 6.7094
_cell_angle_alpha 81.66
_cell_angle_beta 64.60
_cell_angle_gamma 80.65
_symmetry_space_group_name_H-M 'P 1'
_symmetry_Int_Tables_number 1
loop_
_symmetry_equiv_pos_as_xyz
'x,y,z'
loop_
_atom_site_label
_atom_site_fract_x
_atom_site_fract_y
_atom_site_fract_z
_atom_site_occupancy
Mg1 0.2000 0.1542 0.3649 1
Mg2 0.8000 0.8458 0.6351 1
V1 0.3892 0.3312 0.7293 1
V2 0.6108 0.6688 0.2707 1
P1 0.1413 0.6221 0.1913 1
P2 0.2703 0.8396 0.7424 1
P3 0.7297 0.1604 0.2576 1
P4 0.8587 0.3779 0.8087 1
O1 0.0994 0.7580 0.9847 1
O2 0.1051 0.9342 0.6355 1
O3 0.1057 0.3557 0.6247 1
O4 0.2256 0.3986 0.1237 1
O5 0.3058 0.7308 0.2315 1
O6 0.4262 0.9889 0.7516 1
O7 0.4287 0.6512 0.6309 1
O8 0.5713 0.3488 0.3691 1
O9 0.5738 0.0111 0.2484 1
O10 0.6942 0.2692 0.7685 1
O11 0.7744 0.6014 0.8763 1
O12 0.8943 0.6443 0.3753 1
O13 0.8949 0.0658 0.3645 1
O14 0.9006 0.2420 0.0153 1
```



The following is a theoretical PXRD pattern of CrPH5O5. It was derived from the PBE+U geometry in the Materials Project, using λ = 1.5418 Å (Cu Kα).
Peak positions follow from Bragg's law for the DFT cell and can differ from measured ones.

Top 8 peaks for 10° ≤ 2θ ≤ 90°, in order of falling intensity:
- 23.10°, d = 3.850 Å, I = 100
- 17.43°, d = 5.087 Å, I = 86
- 34.63°, d = 2.590 Å, I = 61
- 25.21°, d = 3.533 Å, I = 42
- 16.09°, d = 5.507 Å, I = 30
- 31.06°, d = 2.880 Å, I = 20
- 30.25°, d = 2.954 Å, I = 19
- 28.45°, d = 3.137 Å, I = 19

Atomic structure:
```
data_CrPH5O5
_cell_length_a 6.8235
_cell_length_b 7.6340
_cell_length_c 9.3278
_cell_angle_alpha 90.00
_cell_angle_beta 90.00
_cell_angle_gamma 90.00
_symmetry_space_group_name_H-M 'P 1'
_symmetry_Int_Tables_number 1
loop_
_symmetry_equiv_pos_as_xyz
'x,y,z'
loop_
_atom_site_label
_atom_site_fract_x
_atom_site_fract_y
_atom_site_fract_z
_atom_site_occupancy
Cr1 0.2259 0.0326 0.0945 1
Cr2 0.2741 0.9674 0.5945 1
Cr3 0.7259 0.4674 0.9055 1
Cr4 0.7741 0.5326 0.4055 1
P1 0.0188 0.3211 0.6503 1
P2 0.4812 0.6789 0.1503 1
P3 0.5188 0.1789 0.3497 1
P4 0.9812 0.8211 0.8497 1
H1 0.0272 0.4441 0.1557 1
H2 0.0749 0.6407 0.1794 1
H3 0.1225 0.3208 0.9370 1
H4 0.1287 0.7005 0.8860 1
H5 0.1913 0.6231 0.5345 1
H6 0.3087 0.3769 0.0345 1
H7 0.3713 0.2995 0.3860 1
H8 0.3775 0.6792 0.4370 1
H9 0.4251 0.3593 0.6794 1
H10 0.4728 0.5559 0.6557 1
H11 0.5272 0.0559 0.8443 1
H12 0.5749 0.8593 0.8206 1
H13 0.6225 0.1792 0.0630 1
H14 0.6287 0.7995 0.1140 1
H15 0.6913 0.8769 0.4655 1
H16 0.8087 0.1231 0.9655 1
H17 0.8713 0.2005 0.6140 1
H18 0.8775 0.8208 0.5630 1
H19 0.9251 0.1407 0.3206 1
H20 0.9728 0.9441 0.3443 1
O1 0.0064 0.4727 0.5407 1
O2 0.0198 0.8840 0.6946 1
O3 0.0316 0.0528 0.3073 1
O4 0.1923 0.2963 0.0303 1
O5 0.2190 0.2276 0.6432 1
O6 0.2810 0.7724 0.1432 1
O7 0.3077 0.7037 0.5303 1
O8 0.4684 0.9472 0.8073 1
O9 0.4802 0.1160 0.1946 1
O10 0.4936 0.5273 0.0407 1
O11 0.5064 0.0273 0.4593 1
O12 0.5198 0.6160 0.3054 1
O13 0.5316 0.4472 0.6927 1
O14 0.6923 0.2037 0.9697 1
O15 0.7190 0.2724 0.3568 1
O16 0.7810 0.7276 0.8568 1
O17 0.8077 0.7963 0.4697 1
O18 0.9684 0.5528 0.1927 1
O19 0.9802 0.3840 0.8054 1
O20 0.9936 0.9727 0.9593 1
```



The following is a theoretical PXRD pattern of Na3CrPCO7. It was derived from the PBE+U geometry in the Materials Project, using λ = 1.5418 Å (Cu Kα).
Peak positions follow from Bragg's law for the DFT cell and can differ from measured ones.

Top 8 peaks for 10° ≤ 2θ ≤ 90°, in order of falling intensity:
- 33.86°, d = 2.647 Å, I = 100
- 26.72°, d = 3.336 Å, I = 98
- 33.23°, d = 2.696 Å, I = 79
- 33.08°, d = 2.708 Å, I = 60
- 48.21°, d = 1.888 Å, I = 46
- 29.31°, d = 3.047 Å, I = 44
- 55.05°, d = 1.668 Å, I = 38
- 25.38°, d = 3.509 Å, I = 36

Atomic structure:
```
data_Na3CrPCO7
_cell_length_a 5.2959
_cell_length_b 6.6725
_cell_length_c 9.1614
_cell_angle_alpha 90.00
_cell_angle_beta 91.50
_cell_angle_gamma 90.00
_symmetry_space_group_name_H-M 'P 1'
_symmetry_Int_Tables_number 1
loop_
_symmetry_equiv_pos_as_xyz
'x,y,z'
loop_
_atom_site_label
_atom_site_fract_x
_atom_site_fract_y
_atom_site_fract_z
_atom_site_occupancy
Na1 0.2173 0.2500 0.0865 1
Na2 0.2473 0.5023 0.7373 1
Na3 0.2473 0.9977 0.7373 1
Na4 0.7527 0.0023 0.2627 1
Na5 0.7527 0.4977 0.2627 1
Na6 0.7827 0.7500 0.9135 1
Cr1 0.2315 0.7500 0.3556 1
Cr2 0.7685 0.2500 0.6444 1
P1 0.3109 0.2500 0.4177 1
P2 0.6891 0.7500 0.5823 1
C1 0.2821 0.7500 0.0540 1
C2 0.7179 0.2500 0.9460 1
O1 0.0837 0.7500 0.1376 1
O2 0.1919 0.2500 0.5689 1
O3 0.2310 0.0637 0.3239 1
O4 0.2310 0.4363 0.3239 1
O5 0.2466 0.7500 0.9134 1
O6 0.3936 0.7500 0.5640 1
O7 0.4933 0.2500 0.8874 1
O8 0.5067 0.7500 0.1126 1
O9 0.6064 0.2500 0.4360 1
O10 0.7534 0.2500 0.0866 1
O11 0.7690 0.5637 0.6761 1
O12 0.7690 0.9363 0.6761 1
O13 0.8081 0.7500 0.4311 1
O14 0.9163 0.2500 0.8624 1
```



The following is a theoretical PXRD pattern of BaDyFeCuO5. It was derived from the PBE+U geometry in the Materials Project, using λ = 1.5418 Å (Cu Kα).
Peak positions follow from Bragg's law for the DFT cell and can differ from measured ones.

Top 8 peaks for 10° ≤ 2θ ≤ 90°, in order of falling intensity:
- 32.15°, d = 2.784 Å, I = 100
- 32.51°, d = 2.754 Å, I = 43
- 57.77°, d = 1.596 Å, I = 37
- 46.64°, d = 1.947 Å, I = 28
- 57.08°, d = 1.614 Å, I = 18
- 39.80°, d = 2.265 Å, I = 17
- 22.83°, d = 3.895 Å, I = 16
- 11.11°, d = 7.964 Å, I = 11

Atomic structure:
```
data_BaDyFeCuO5
_cell_length_a 3.8949
_cell_length_b 3.8949
_cell_length_c 7.9639
_cell_angle_alpha 90.00
_cell_angle_beta 90.00
_cell_angle_gamma 90.00
_symmetry_space_group_name_H-M 'P 1'
_symmetry_Int_Tables_number 1
loop_
_symmetry_equiv_pos_as_xyz
'x,y,z'
loop_
_atom_site_label
_atom_site_fract_x
_atom_site_fract_y
_atom_site_fract_z
_atom_site_occupancy
Ba1 0.0000 0.0000 0.0000 1
Dy1 0.0000 0.0000 0.4640 1
Fe1 0.5000 0.5000 0.7047 1
Cu1 0.5000 0.5000 0.2533 1
O1 0.0000 0.5000 0.2763 1
O2 0.0000 0.5000 0.6335 1
O3 0.5000 0.0000 0.2763 1
O4 0.5000 0.0000 0.6335 1
O5 0.5000 0.5000 0.9394 1
```